Diffraction record for Rb2YTlCl6. The powder diffraction line list is theoretical, not measured: it uses a DFT-relaxed cell (PBE, the Materials Project) and a wavelength of 1.5418 Å.

Atomic structure:
Cell: 8.0870 8.0870 8.0870 Å, 60.00 60.00 60.00°
Fractional positions:
Rb 0.2500 0.2500 0.2500
Rb 0.7500 0.7500 0.7500
Y 0.0000 0.0000 0.0000
Tl 0.5000 0.5000 0.5000
Cl 0.2308 0.2308 0.7692
Cl 0.2308 0.7692 0.2308
Cl 0.2308 0.7692 0.7692
Cl 0.7692 0.2308 0.2308
Cl 0.7692 0.2308 0.7692
Cl 0.7692 0.7692 0.2308

Most intense lines, 10 to 90 degrees two-theta, by intensity:
2θ 21.98, I 100
2θ 31.28, I 61
2θ 38.57, I 46
2θ 44.83, I 42
2θ 15.50, I 28
2θ 60.59, I 27
2θ 50.47, I 24
2θ 74.16, I 17
2θ 86.85, I 15
2θ 55.68, I 14
2θ 35.09, I 13
2θ 82.67, I 13